Computed powder X-ray diffraction pattern of AcTc2SnO8 for Cu Kα (weighted mean of Kα1 and Kα2), from a PBE-relaxed structure.

Main lines, low angle first (2θ from 10° to 80°):
2θ/deg  Rel. int.
26.05  100
30.01  84
40.15  30
43.31  30
50.93  32
53.28  24

Atomic structure:
```
12
Lattice="2.978 1.719 6.094 -2.978 1.719 6.094 0.000 -3.438 6.094" Properties=species:S:1:pos:R:3 pbc="T T T"
Ac 0.000 0.000 0.000
Tc 0.000 0.000 4.356
Tc 0.000 0.000 13.926
Sn 0.000 0.000 9.141
O -1.818 -0.386 7.365
O 0.000 0.000 2.565
O -0.575 -1.768 10.917
O 1.244 -1.382 7.365
O -1.244 1.382 10.917
O 0.575 1.768 7.365
O 0.000 0.000 15.717
O 1.818 0.386 10.917
```